(1)
Computed powder XRD pattern
Compound: Tb3V4Fe32
Radiation: Cu Kα
Structure: a PBE-relaxed structure

Largest 10 diffraction maxima, in order of falling intensity, 2θ = 15–90°:
2θ = 43.10°, 2.099 Å, intensity 100; 2θ = 30.39°, 2.941 Å, intensity 44; 2θ = 44.31°, 2.044 Å, intensity 36; 2θ = 44.35°, 2.042 Å, intensity 33; 2θ = 42.58°, 2.123 Å, intensity 32; 2θ = 42.78°, 2.114 Å, intensity 29; 2θ = 49.53°, 1.840 Å, intensity 23; 2θ = 37.28°, 2.412 Å, intensity 22; 2θ = 37.15°, 2.420 Å, intensity 21; 2θ = 72.95°, 1.297 Å, intensity 19

Structure:
```
Tb3V4Fe32
1.0
5.994 -2.333 0.000
5.994 2.333 0.000
-5.914 0.000 17.966
Tb V Fe
3 4 32
Cartesian
0.000 0.000 0.000
0.056 0.000 11.977
5.989 0.000 5.962
-2.134 0.000 9.790
3.760 0.000 3.738
3.814 0.000 15.721
8.148 0.000 8.114
-1.381 0.000 4.589
-1.350 0.000 7.310
-3.810 0.000 15.782
2.996 1.167 5.958
0.038 1.167 14.948
-2.127 0.000 14.090
1.336 0.000 4.613
2.158 0.000 2.147
1.363 0.000 7.315
3.018 1.168 11.946
5.981 1.167 2.968
-1.329 0.000 16.564
4.615 0.000 1.310
2.160 0.000 9.792
6.001 1.169 8.954
3.051 1.167 17.939
3.848 0.000 8.106
1.387 0.000 16.587
2.209 0.000 14.125
7.344 0.000 1.338
2.996 -1.167 5.958
0.038 -1.167 14.948
4.642 0.000 10.581
4.671 0.000 13.290
8.130 0.000 3.806
3.018 -1.168 11.946
5.981 -1.167 2.968
9.808 0.000 2.113
7.359 0.000 10.590
7.390 0.000 13.321
6.001 -1.169 8.954
3.051 -1.167 17.939
```

(2)
Computed powder XRD pattern
Compound: Ba4Ga5AgSe12
Radiation: Cu Kα
Structure: a PBE-relaxed structure

Largest 10 diffraction maxima, in order of falling intensity, 2θ = 15–90°:
2θ = 26.68°, 3.341 Å, intensity 100; 2θ = 29.65°, 3.013 Å, intensity 85; 2θ = 27.12°, 3.288 Å, intensity 72; 2θ = 32.55°, 2.751 Å, intensity 72; 2θ = 24.24°, 3.672 Å, intensity 68; 2θ = 37.27°, 2.413 Å, intensity 61; 2θ = 47.39°, 1.918 Å, intensity 56; 2θ = 33.83°, 2.650 Å, intensity 51; 2θ = 32.74°, 2.736 Å, intensity 45; 2θ = 19.54°, 4.543 Å, intensity 43

Structure:
```
Ba4Ga5AgSe12
1.0
13.949 0.000 0.000
0.000 13.949 0.000
0.000 0.000 6.628
Ba Ga Ag Se
8 10 2 24
Cartesian
0.358 4.009 0.261
2.967 6.616 3.607
4.009 13.590 6.367
6.616 10.982 3.022
7.333 2.967 3.022
9.940 0.358 6.367
10.982 7.333 3.607
13.590 9.940 0.261
0.000 0.000 3.314
1.927 10.560 3.652
3.389 1.927 2.976
3.587 8.900 0.355
5.049 3.587 6.274
6.974 6.974 0.000
8.900 10.362 6.274
10.362 5.049 0.355
10.560 12.022 2.976
12.022 3.389 3.652
0.000 6.974 1.926
6.974 0.000 4.702
0.046 9.036 3.592
1.165 12.491 4.905
1.458 1.165 1.723
2.049 7.031 0.241
2.694 10.955 1.374
2.994 2.694 5.255
3.979 9.663 4.692
4.286 3.979 1.936
4.913 0.046 3.036
5.527 8.143 1.592
5.806 5.527 5.036
6.918 2.049 6.387
7.031 11.900 6.387
8.143 8.422 5.036
8.422 5.806 1.592
9.036 13.903 3.036
9.663 9.970 1.936
9.970 4.286 4.692
10.955 11.255 5.255
11.255 2.994 1.374
11.900 6.918 0.241
12.491 12.784 1.723
12.784 1.458 4.905
13.903 4.913 3.592
```